(1)
Calculated powder X-ray diffraction pattern of Nb3Fe3N for CuKα, from a PBE-relaxed structure.
Peak positions follow from Bragg's law for the DFT cell and can differ from measured ones.

Top 12 peaks for 10° ≤ 2θ ≤ 80°, sorted by position:
index, two_theta, Rel. int.
4 0 0, 31.68, 12
3 3 1, 34.61, 18
4 2 2, 39.06, 43
3 3 3, 41.54, 100
4 4 0, 45.42, 39
4 4 2, 48.34, 9
6 2 2, 53.83, 7
5 5 1, 58.33, 10
7 3 1, 63.23, 5
7 3 3, 67.92, 12
8 2 2, 70.77, 38
5 5 5, 72.46, 9

Crystal structure
a b c (Å): 11.297 11.297 11.297
angles (deg): 90.00 90.00 90.00
Space group Fd-3m (No. 227, origin choice 2)
One atom of each set of equivalent atoms:
Nb (0.074, 0.375, 0.375) (multiplicity 48)
Fe (0.000, 0.000, 0.500) (multiplicity 16)
Fe (0.050, 0.050, 0.700) (multiplicity 32)
N (0.000, 0.000, 0.000) (multiplicity 16)

(2)
Calculated powder X-ray diffraction pattern of CeCoSi2 for CuKα, from a PBE-relaxed structure.
Peak positions follow from Bragg's law for the DFT cell and can differ from measured ones.

Top 12 peaks for 10° ≤ 2θ ≤ 80°, sorted by position:
index, two_theta, Rel. int.
0 4 0, 21.56, 33
0 2 1, 24.65, 27
0 4 1, 31.08, 23
1 1 1, 31.80, 81
1 5 0, 35.06, 74
1 3 1, 35.43, 100
0 6 1, 39.74, 42
2 0 0, 44.65, 34
0 0 2, 45.13, 33
1 9 0, 55.00, 24
1 5 2, 58.40, 33
2 6 1, 61.29, 23

Crystal structure
```
data_CeCoSi2
_cell_length_a 4.059
_cell_length_b 16.486
_cell_length_c 4.018
_cell_angle_alpha 90.00
_cell_angle_beta 90.00
_cell_angle_gamma 90.00
_space_group_name_H-M_alt 'C m c m'
_space_group_IT_number 63
_space_group_name_Hall '-C 2c 2'
loop_
_atom_site_label
_atom_site_type_symbol
_atom_site_fract_x
_atom_site_fract_y
_atom_site_fract_z
Ce1 Ce 0.000 0.109 0.250
Co1 Co 0.000 0.322 0.250
Si1 Si 0.000 0.250 0.750
Si2 Si 0.000 0.459 0.250
```